Record 1
For ZnCd3Hg7, the GGA-PBE geometry in Alexandria gives the computed X-ray powder pattern in this record (a wavelength of 1.5418 Å).
Intensities are scaled so that the largest is 100.

Structure:
Cell lengths 8.7792, 8.7792, 4.8271 Å; angles 105.22, 105.22, 54.36 degrees
Atoms (fractional coordinates):
Zn 0.0000 0.0000 0.0000
Cd 0.3029 0.6830 0.7294
Cd 0.5596 0.5596 0.2993
Cd 0.6830 0.3029 0.7294
Hg 0.0984 0.6548 0.1496
Hg 0.1014 0.1014 0.5779
Hg 0.3080 0.3080 0.6595
Hg 0.4170 0.9535 0.1479
Hg 0.6548 0.0984 0.1496
Hg 0.7475 0.7475 0.6841
Hg 0.9535 0.4170 0.1479

Peak list (6 most intense, 2θ from 10° to 90°, low angle first)
| two_theta | Rel. int. |
| --- | --- |
| 29.5 | 100.0 |
| 29.6 | 74.2 |
| 32.8 | 54.7 |
| 35.1 | 37.5 |
| 35.6 | 45.5 |
| 39.1 | 38.5 |


Record 2
For Zr2Cd4Hg, the GGA-PBE geometry in Alexandria gives the computed X-ray powder pattern in this record (a wavelength of 1.5418 Å).
Intensities are scaled so that the largest is 100.

Structure:
Cell lengths 9.8390, 9.8390, 9.8390 Å; angles 60.00, 60.00, 60.00 degrees
Atoms (fractional coordinates):
Zr 0.1189 0.7937 0.7937
Zr 0.2063 0.2063 0.2063
Zr 0.2063 0.2063 0.8811
Zr 0.2063 0.8811 0.2063
Zr 0.7937 0.1189 0.7937
Zr 0.7937 0.7937 0.1189
Zr 0.7937 0.7937 0.7937
Zr 0.8811 0.2063 0.2063
Cd 0.0000 0.0000 0.0000
Cd 0.0000 0.0000 0.5000
Cd 0.0000 0.5000 0.0000
Cd 0.1447 0.1447 0.6053
Cd 0.1447 0.6053 0.1447
Cd 0.1447 0.6053 0.6053
Cd 0.3947 0.3947 0.8553
Cd 0.3947 0.8553 0.3947
Cd 0.3947 0.8553 0.8553
Cd 0.5000 0.0000 0.0000
Cd 0.6053 0.1447 0.1447
Cd 0.6053 0.1447 0.6053
Cd 0.6053 0.6053 0.1447
Cd 0.8553 0.3947 0.3947
Cd 0.8553 0.3947 0.8553
Cd 0.8553 0.8553 0.3947
Hg 0.0000 0.5000 0.5000
Hg 0.5000 0.0000 0.5000
Hg 0.5000 0.5000 0.0000
Hg 0.5000 0.5000 0.5000

Peak list (6 most intense, 2θ from 10° to 90°, low angle first)
| two_theta | Rel. int. |
| --- | --- |
| 22.1 | 20.4 |
| 33.5 | 21.9 |
| 36.5 | 100.0 |
| 43.1 | 29.7 |
| 65.8 | 23.9 |
| 70.3 | 14.6 |